Theoretical PXRD pattern
Compound: GePd10
Radiation: Cu Kα X-rays
Structure: a cell relaxed with PBE

Atomic structure:
Lattice parameters (Å, degrees): 4.784 4.784 33.477 90.29 90.29 48.27
Sites, in units of the cell vectors:
Ge: 0.154 0.154 0.230
Ge: 0.846 0.846 0.770
Pd: 0.048 0.048 0.406
Pd: 0.051 0.051 0.675
Pd: 0.150 0.150 0.487
Pd: 0.153 0.153 0.762
Pd: 0.252 0.252 0.567
Pd: 0.254 0.254 0.299
Pd: 0.348 0.348 0.380
Pd: 0.351 0.351 0.648
Pd: 0.449 0.449 0.460
Pd: 0.452 0.452 0.732
Pd: 0.548 0.548 0.268
Pd: 0.551 0.551 0.540
Pd: 0.649 0.649 0.352
Pd: 0.652 0.652 0.620
Pd: 0.746 0.746 0.701
Pd: 0.748 0.748 0.433
Pd: 0.847 0.847 0.238
Pd: 0.850 0.850 0.513
Pd: 0.949 0.949 0.325
Pd: 0.952 0.952 0.594

Top 10 peaks for 2θ from 10° to 90°, most intense first:
38.93°, d = 2.313 Å, intensity 100; 40.04°, d = 2.252 Å, intensity 95; 39.39°, d = 2.288 Å, intensity 57; 46.45°, d = 1.955 Å, intensity 52; 41.11°, d = 2.196 Å, intensity 40; 45.55°, d = 1.992 Å, intensity 31; 45.78°, d = 1.982 Å, intensity 29; 67.09°, d = 1.395 Å, intensity 28; 36.85°, d = 2.439 Å, intensity 24; 47.06°, d = 1.931 Å, intensity 21

Theoretical PXRD pattern
Compound: GePd15
Radiation: Cu Kα X-rays
Structure: a cell relaxed with PBE

Atomic structure:
Lattice parameters (Å, degrees): 5.539 3.947 36.282 90.00 90.05 90.00
Sites, in units of the cell vectors:
Ge: 0.125 0.250 0.281
Ge: 0.875 0.750 0.719
Pd: 0.122 0.250 0.745
Pd: 0.125 0.250 0.058
Pd: 0.125 0.250 0.135
Pd: 0.125 0.250 0.212
Pd: 0.125 0.250 0.825
Pd: 0.125 0.250 0.903
Pd: 0.125 0.250 0.981
Pd: 0.372 0.750 0.255
Pd: 0.375 0.750 0.019
Pd: 0.375 0.750 0.097
Pd: 0.375 0.750 0.175
Pd: 0.375 0.750 0.709
Pd: 0.375 0.750 0.787
Pd: 0.375 0.750 0.864
Pd: 0.375 0.750 0.942
Pd: 0.625 0.250 0.058
Pd: 0.625 0.250 0.136
Pd: 0.625 0.250 0.213
Pd: 0.625 0.250 0.291
Pd: 0.625 0.250 0.825
Pd: 0.625 0.250 0.903
Pd: 0.625 0.250 0.981
Pd: 0.628 0.250 0.745
Pd: 0.875 0.750 0.019
Pd: 0.875 0.750 0.097
Pd: 0.875 0.750 0.175
Pd: 0.875 0.750 0.788
Pd: 0.875 0.750 0.865
Pd: 0.875 0.750 0.942
Pd: 0.878 0.750 0.255

Top 10 peaks for 2θ from 10° to 90°, most intense first:
39.79°, d = 2.266 Å, intensity 100; 39.54°, d = 2.279 Å, intensity 66; 46.18°, d = 1.966 Å, intensity 42; 67.21°, d = 1.393 Å, intensity 27; 80.89°, d = 1.188 Å, intensity 26; 37.47°, d = 2.400 Å, intensity 26; 45.98°, d = 1.974 Å, intensity 23; 44.36°, d = 2.042 Å, intensity 16; 81.30°, d = 1.183 Å, intensity 16; 46.05°, d = 1.971 Å, intensity 11

Theoretical PXRD pattern
Compound: PmGe2Pd4
Radiation: Cu Kα X-rays
Structure: a cell relaxed with PBE

Atomic structure:
Lattice parameters (Å, degrees): 7.941 7.941 3.944 90.00 90.00 90.00
Sites, in units of the cell vectors:
Pm: 0.000 0.000 0.000
Pm: 0.500 0.500 0.500
Ge: 0.221 0.221 0.500
Ge: 0.279 0.721 0.000
Ge: 0.721 0.279 0.000
Ge: 0.779 0.779 0.500
Pd: 0.082 0.668 0.500
Pd: 0.168 0.418 0.000
Pd: 0.332 0.918 0.500
Pd: 0.418 0.168 0.000
Pd: 0.582 0.832 0.000
Pd: 0.668 0.082 0.500
Pd: 0.832 0.582 0.000
Pd: 0.918 0.332 0.500

Top 10 peaks for 2θ from 10° to 90°, most intense first:
33.97°, d = 2.639 Å, intensity 100; 42.69°, d = 2.118 Å, intensity 49; 35.76°, d = 2.511 Å, intensity 42; 39.39°, d = 2.287 Å, intensity 36; 63.09°, d = 1.474 Å, intensity 30; 46.03°, d = 1.972 Å, intensity 27; 47.19°, d = 1.926 Å, intensity 25; 59.61°, d = 1.551 Å, intensity 19; 68.04°, d = 1.378 Å, intensity 16; 77.41°, d = 1.233 Å, intensity 9

Theoretical PXRD pattern
Compound: Pr2Ge3Pd
Radiation: Cu Kα X-rays
Structure: a cell relaxed with PBE

Atomic structure:
Lattice parameters (Å, degrees): 4.206 4.421 7.386 90.00 90.00 90.00
Sites, in units of the cell vectors:
Pr: 0.000 0.000 0.000
Pr: 0.000 0.500 0.492
Ge: 0.500 0.000 0.332
Ge: 0.500 0.000 0.672
Ge: 0.500 0.500 0.158
Pd: 0.500 0.500 0.824

Top 10 peaks for 2θ from 10° to 90°, most intense first:
31.77°, d = 2.817 Å, intensity 100; 32.26°, d = 2.775 Å, intensity 51; 42.00°, d = 2.151 Å, intensity 44; 61.69°, d = 1.504 Å, intensity 28; 52.96°, d = 1.729 Å, intensity 25; 40.82°, d = 2.211 Å, intensity 24; 43.01°, d = 2.103 Å, intensity 21; 60.79°, d = 1.524 Å, intensity 15; 68.67°, d = 1.367 Å, intensity 11; 70.89°, d = 1.329 Å, intensity 11

Theoretical PXRD pattern
Compound: Pr3Ge4Pd2Pt2
Radiation: Cu Kα X-rays
Structure: a cell relaxed with PBE

Atomic structure:
Lattice parameters (Å, degrees): 13.075 13.075 13.075 161.67 160.68 26.75
Sites, in units of the cell vectors:
Pr: 0.000 0.000 0.000
Pr: 0.352 0.852 0.500
Pr: 0.648 0.148 0.500
Ge: 0.194 0.694 0.500
Ge: 0.450 0.450 0.000
Ge: 0.550 0.550 0.000
Ge: 0.806 0.306 0.500
Pd: 0.096 0.596 0.500
Pd: 0.904 0.404 0.500
Pt: 0.249 0.249 0.000
Pt: 0.751 0.751 0.000

Top 10 peaks for 2θ from 10° to 90°, most intense first:
32.82°, d = 2.729 Å, intensity 100; 41.17°, d = 2.193 Å, intensity 36; 32.70°, d = 2.739 Å, intensity 27; 43.45°, d = 2.083 Å, intensity 23; 61.38°, d = 1.510 Å, intensity 16; 44.27°, d = 2.046 Å, intensity 14; 53.52°, d = 1.712 Å, intensity 13; 37.86°, d = 2.376 Å, intensity 13; 72.98°, d = 1.296 Å, intensity 12; 36.52°, d = 2.460 Å, intensity 12

Theoretical PXRD pattern
Compound: Pr3Zn2Si2Ge2Pd2
Radiation: Cu Kα X-rays
Structure: a cell relaxed with PBE

Atomic structure:
Lattice parameters (Å, degrees): 13.106 13.106 13.106 161.88 160.99 26.38
Sites, in units of the cell vectors:
Pr: 0.000 0.000 0.000
Pr: 0.352 0.852 0.500
Pr: 0.648 0.148 0.500
Zn: 0.250 0.250 0.000
Zn: 0.750 0.750 0.000
Si: 0.192 0.692 0.500
Si: 0.808 0.308 0.500
Ge: 0.451 0.451 0.000
Ge: 0.549 0.549 0.000
Pd: 0.098 0.598 0.500
Pd: 0.902 0.402 0.500

Top 10 peaks for 2θ from 10° to 90°, most intense first:
33.11°, d = 2.705 Å, intensity 100; 32.77°, d = 2.733 Å, intensity 37; 41.73°, d = 2.164 Å, intensity 24; 44.30°, d = 2.045 Å, intensity 21; 37.93°, d = 2.372 Å, intensity 21; 43.87°, d = 2.064 Å, intensity 21; 54.05°, d = 1.697 Å, intensity 18; 62.15°, d = 1.494 Å, intensity 15; 64.11°, d = 1.453 Å, intensity 14; 59.36°, d = 1.557 Å, intensity 12

Theoretical PXRD pattern
Compound: PrYGe2Pd4
Radiation: Cu Kα X-rays
Structure: a cell relaxed with PBE

Atomic structure:
Lattice parameters (Å, degrees): 4.430 4.430 9.243 90.00 90.00 120.00
Sites, in units of the cell vectors:
Pr: 0.000 0.000 0.000
Y: 0.667 0.333 0.500
Ge: 0.333 0.667 0.260
Ge: 0.333 0.667 0.740
Pd: 0.000 0.000 0.334
Pd: 0.000 0.000 0.666
Pd: 0.667 0.333 0.178
Pd: 0.667 0.333 0.822

Top 10 peaks for 2θ from 10° to 90°, most intense first:
37.44°, d = 2.402 Å, intensity 100; 40.74°, d = 2.215 Å, intensity 80; 56.51°, d = 1.628 Å, intensity 30; 71.97°, d = 1.312 Å, intensity 28; 23.18°, d = 3.837 Å, intensity 19; 30.28°, d = 2.952 Å, intensity 14; 74.15°, d = 1.279 Å, intensity 13; 65.27°, d = 1.430 Å, intensity 13; 75.11°, d = 1.265 Å, intensity 10; 88.23°, d = 1.108 Å, intensity 9

Theoretical PXRD pattern
Compound: Ge2PdPt
Radiation: Cu Kα X-rays
Structure: a cell relaxed with PBE

Atomic structure:
Lattice parameters (Å, degrees): 3.666 6.263 5.834 90.00 90.00 90.00
Sites, in units of the cell vectors:
Ge: 0.000 0.167 0.000
Ge: 0.000 0.833 0.500
Ge: 0.500 0.332 0.626
Ge: 0.500 0.668 0.126
Pd: 0.000 0.445 0.315
Pd: 0.000 0.555 0.815
Pt: 0.500 0.061 0.310
Pt: 0.500 0.939 0.810

Top 10 peaks for 2θ from 10° to 90°, most intense first:
42.14°, d = 2.144 Å, intensity 100; 40.94°, d = 2.204 Å, intensity 63; 28.21°, d = 3.164 Å, intensity 56; 42.35°, d = 2.134 Å, intensity 34; 32.19°, d = 2.781 Å, intensity 29; 49.75°, d = 1.833 Å, intensity 28; 46.18°, d = 1.966 Å, intensity 25; 83.55°, d = 1.157 Å, intensity 22; 50.30°, d = 1.814 Å, intensity 22; 30.65°, d = 2.917 Å, intensity 20

Repeat the eighth record exactly.
Theoretical PXRD pattern
Compound: Ge2PdPt
Radiation: Cu Kα X-rays
Structure: a cell relaxed with PBE

Atomic structure:
Lattice parameters (Å, degrees): 3.666 6.263 5.834 90.00 90.00 90.00
Sites, in units of the cell vectors:
Ge: 0.000 0.167 0.000
Ge: 0.000 0.833 0.500
Ge: 0.500 0.332 0.626
Ge: 0.500 0.668 0.126
Pd: 0.000 0.445 0.315
Pd: 0.000 0.555 0.815
Pt: 0.500 0.061 0.310
Pt: 0.500 0.939 0.810

Top 10 peaks for 2θ from 10° to 90°, most intense first:
42.14°, d = 2.144 Å, intensity 100; 40.94°, d = 2.204 Å, intensity 63; 28.21°, d = 3.164 Å, intensity 56; 42.35°, d = 2.134 Å, intensity 34; 32.19°, d = 2.781 Å, intensity 29; 49.75°, d = 1.833 Å, intensity 28; 46.18°, d = 1.966 Å, intensity 25; 83.55°, d = 1.157 Å, intensity 22; 50.30°, d = 1.814 Å, intensity 22; 30.65°, d = 2.917 Å, intensity 20